Structure and simulated powder XRD pattern of TbMg5Hg6 (a crystal structure in Alexandria, relaxed with PBE; copper Kα).

Largest 12 diffraction maxima, low angle first, 2θ from 5° to 70°:
(hkl), Position (°2θ), I_rel
0 2 0, 24.2, 25.5
1 0 -2, 25.7, 42.7
1 2 1, 35.6, 100.0
2 0 -1, 36.6, 46.7
2 2 -1, 44.4, 21.6
0 4 0, 49.5, 9.5
2 0 -4, 52.8, 17.2
1 4 -2, 56.6, 9.7
2 2 -4, 58.9, 9.5
2 4 -1, 63.2, 18.8
3 2 -3, 65.2, 25.5
3 2 0, 65.3, 8.7

```
data_TbMg5Hg6
_cell_length_a 4.9012
_cell_length_b 7.3608
_cell_length_c 7.7650
_cell_angle_alpha 90.00
_cell_angle_beta 108.47
_cell_angle_gamma 90.00
_symmetry_space_group_name_H-M 'P 1 2/m 1'
_symmetry_Int_Tables_number 10
_symmetry_space_group_name_Hall '-P 2y'
loop_
_atom_site_label
_atom_site_fract_x
_atom_site_fract_y
_atom_site_fract_z
Tb1 0.0000 0.0000 0.0000
Mg1 0.0000 0.5000 0.0000
Mg2 0.3311 0.5000 0.6637
Mg3 0.3318 0.0000 0.6648
Hg1 0.1718 0.2509 0.3409
Hg2 0.5000 0.2651 0.0000
```



Structure and simulated powder XRD pattern of CaPm5Pr3 (a crystal structure in Alexandria, relaxed with PBE; copper Kα).

Largest 12 diffraction maxima, low angle first, 2θ from 5° to 70°:
(hkl), Position (°2θ), I_rel
1 0 0, 10.1, 5.4
0 0 2, 24.8, 6.4
2 1 1, 29.7, 6.1
3 0 0, 30.6, 100.0
3 0 2, 39.8, 8.9
2 2 2, 43.8, 16.1
0 0 4, 50.9, 4.7
4 1 2, 54.3, 16.0
3 3 0, 54.3, 8.6
4 2 1, 57.0, 3.4
3 0 4, 60.6, 16.6
6 0 0, 63.7, 4.8

```
data_CaPm5Pr3
_cell_length_a 10.1280
_cell_length_b 10.1280
_cell_length_c 7.1772
_cell_angle_alpha 90.00
_cell_angle_beta 90.00
_cell_angle_gamma 120.00
_symmetry_space_group_name_H-M 'P 63/m c m'
_symmetry_Int_Tables_number 193
_symmetry_space_group_name_Hall '-P 6c 2'
loop_
_atom_site_label
_atom_site_fract_x
_atom_site_fract_y
_atom_site_fract_z
Ca1 0.0000 0.0000 0.0000
Pm1 0.0000 0.3113 0.2500
Pm2 0.3333 0.6667 0.0000
Pr1 0.0000 0.3586 0.7500
```



Structure and simulated powder XRD pattern of Cu6NiPd2 (a crystal structure in Alexandria, relaxed with PBE; copper Kα).

Largest 12 diffraction maxima, low angle first, 2θ from 5° to 70°:
(hkl), Position (°2θ), I_rel
2 0 0, 16.9, 2.1
1 1 0, 25.6, 4.9
2 0 1, 26.8, 2.0
2 0 -2, 31.2, 1.6
1 1 1, 31.7, 1.8
4 0 -1, 32.9, 1.4
3 1 -1, 35.3, 1.9
3 1 -2, 42.3, 100.0
3 1 1, 42.4, 99.5
0 0 3, 49.0, 31.7
0 2 0, 49.3, 31.5
6 0 -1, 49.6, 30.8

```
data_Cu6NiPd2
_cell_length_a 11.0333
_cell_length_b 3.6971
_cell_length_c 5.8781
_cell_angle_alpha 90.00
_cell_angle_beta 108.43
_cell_angle_gamma 90.00
_symmetry_space_group_name_H-M 'C 1 2/m 1'
_symmetry_Int_Tables_number 12
_symmetry_space_group_name_Hall '-C 2y'
loop_
_atom_site_label
_atom_site_fract_x
_atom_site_fract_y
_atom_site_fract_z
Cu1 0.1150 0.0000 0.1758
Cu2 0.1683 0.5000 0.4983
Cu3 0.2230 0.0000 0.8262
Ni1 0.0000 0.0000 0.5000
Pd1 0.0577 0.5000 0.8285
```



Structure and simulated powder XRD pattern of Tl2Ga2S5 (a crystal structure in Alexandria, relaxed with PBE; copper Kα).

Largest 12 diffraction maxima, low angle first, 2θ from 5° to 70°:
(hkl), Position (°2θ), I_rel
0 0 1, 10.0, 21.7
2 0 -2, 23.2, 33.4
1 1 1, 23.8, 100.0
2 0 2, 27.0, 29.8
4 0 0, 30.1, 24.1
4 0 -1, 30.2, 22.4
3 1 -1, 30.5, 20.9
3 1 -2, 34.3, 37.3
1 1 -3, 36.2, 32.0
0 2 0, 39.7, 23.3
3 1 3, 45.8, 20.4
6 0 1, 48.7, 19.2

```
data_Tl2Ga2S5
_cell_length_a 12.0211
_cell_length_b 4.5400
_cell_length_c 8.9348
_cell_angle_alpha 90.00
_cell_angle_beta 98.93
_cell_angle_gamma 90.00
_symmetry_space_group_name_H-M 'C 1 2/m 1'
_symmetry_Int_Tables_number 12
_symmetry_space_group_name_Hall '-C 2y'
loop_
_atom_site_label
_atom_site_fract_x
_atom_site_fract_y
_atom_site_fract_z
Tl1 0.1042 0.0000 0.3834
Ga1 0.1663 0.5000 0.8674
S1 0.0000 0.5000 0.0000
S2 0.1423 0.5000 0.6205
S3 0.1529 0.0000 0.9843
```